Starting from a DFT-relaxed cell (GGA+U, the Materials Project), the PXRD pattern of Ti5CrP6O24 was calculated for Cu Kα, 1.54184 Å.
No peak broadening, texture or thermal motion is included.

Top 6 peaks for 15° ≤ 2θ ≤ 90°, by intensity:
2θ/deg	I_rel	h k l
24.24	100	2 -1 3
20.38	56	1 1 0
33.37	47	2 -1 6
35.68	28	3 0 0
47.76	27	3 -2 8
55.81	19	1 4 0

Crystal structure
abc: 8.7168 8.7168 20.4576
angles: 90.00 90.00 120.00
Space group R3 (No. 146, hexagonal axes)
One atom of each set of equivalent atoms:
1 Ti 0.0000 0.0000 0.0000 (multiplicity 3)
2 Ti 0.0000 0.0000 0.1388 (multiplicity 3)
3 Ti 0.0000 0.0000 0.5016 (multiplicity 3)
4 Ti 0.0000 0.0000 0.6420 (multiplicity 3)
5 Ti 0.0000 0.0000 0.7828 (multiplicity 3)
6 Cr 0.0000 0.0000 0.2833 (multiplicity 3)
7 P 0.0012 0.2911 0.3912 (multiplicity 9)
8 P 0.0035 0.7085 0.8919 (multiplicity 9)
9 O 0.0080 0.1978 0.4535 (multiplicity 9)
10 O 0.0096 0.8113 0.9533 (multiplicity 9)
11 O 0.0158 0.8297 0.5680 (multiplicity 9)
12 O 0.0176 0.1861 0.0666 (multiplicity 9)
13 O 0.1382 0.4692 0.9958 (multiplicity 9)
14 O 0.1423 0.6722 0.4971 (multiplicity 9)
15 O 0.1655 0.4831 0.3832 (multiplicity 9)
16 O 0.1681 0.6839 0.8821 (multiplicity 9)